The following is a calculated powder XRD pattern of Y4Er5Tm. It was derived from the GGA-PBE geometry in Alexandria, using a wavelength of 1.5418 Å.
Lines closer than 0.1° are merged.

Peak list (10 most intense, 10 to 90 degrees two-theta, in order of rising 2θ)
- 2θ 12.92, d = 6.854 Å, intensity 14
- 2θ 29.70, d = 3.008 Å, intensity 28
- 2θ 31.82, d = 2.812 Å, intensity 53
- 2θ 32.20, d = 2.780 Å, intensity 100
- 2θ 32.67, d = 2.741 Å, intensity 79
- 2θ 32.88, d = 2.724 Å, intensity 16
- 2θ 48.89, d = 1.863 Å, intensity 14
- 2θ 56.64, d = 1.625 Å, intensity 17
- 2θ 57.50, d = 1.603 Å, intensity 11
- 2θ 59.52, d = 1.553 Å, intensity 19

Atomic structure:
Lattice parameters (Å, degrees): 3.5402 6.7251 13.8266 82.71 89.96 75.10
Space group P-1 (No. 2)
One atom of each set of equivalent atoms:
Y 0.1193 0.2979 0.3072 [2 per cell]
Y 0.1830 0.1715 0.7113 [2 per cell]
Er 0.1844 0.1258 0.0834 [2 per cell]
Er 0.4618 0.5821 0.1137 [2 per cell]
Er 0.5000 0.5000 0.5000 [1 per cell]
Tm 0.0000 0.0000 0.5000 [1 per cell]

***

The following is a calculated powder XRD pattern of YEr2Tm7. It was derived from the GGA-PBE geometry in Alexandria, using a wavelength of 1.5418 Å.
Lines closer than 0.1° are merged.

Peak list (10 most intense, 10 to 90 degrees two-theta, in order of rising 2θ)
- 2θ 31.31, d = 2.857 Å, intensity 100
- 2θ 36.31, d = 2.474 Å, intensity 51
- 2θ 52.27, d = 1.750 Å, intensity 24
- 2θ 52.33, d = 1.748 Å, intensity 12
- 2θ 62.17, d = 1.493 Å, intensity 18
- 2θ 62.25, d = 1.491 Å, intensity 21
- 2θ 65.33, d = 1.428 Å, intensity 12
- 2θ 85.55, d = 1.135 Å, intensity 12
- 2θ 88.24, d = 1.107 Å, intensity 6
- 2θ 88.34, d = 1.106 Å, intensity 7

Atomic structure:
Lattice parameters (Å, degrees): 6.0578 6.9931 7.8331 77.00 74.99 73.28
Space group P-1 (No. 2)
One atom of each set of equivalent atoms:
Y 0.0000 0.0000 0.0000 [1 per cell]
Er 0.1999 0.3006 0.5995 [2 per cell]
Tm 0.0000 0.5000 0.0000 [1 per cell]
Tm 0.2004 0.7998 0.5986 [2 per cell]
Tm 0.3999 0.1003 0.2007 [2 per cell]
Tm 0.4021 0.5990 0.2002 [2 per cell]

***

The following is a calculated powder XRD pattern of Y2Er4Tm7. It was derived from the GGA-PBE geometry in Alexandria, using a wavelength of 1.5418 Å.
Lines closer than 0.1° are merged.

Peak list (10 most intense, 10 to 90 degrees two-theta, in order of rising 2θ)
- 2θ 31.24, d = 2.863 Å, intensity 100
- 2θ 36.23, d = 2.480 Å, intensity 51
- 2θ 52.16, d = 1.753 Å, intensity 36
- 2θ 62.03, d = 1.496 Å, intensity 21
- 2θ 62.10, d = 1.495 Å, intensity 21
- 2θ 65.18, d = 1.431 Å, intensity 9
- 2θ 85.26, d = 1.138 Å, intensity 9
- 2θ 85.36, d = 1.137 Å, intensity 9
- 2θ 87.99, d = 1.110 Å, intensity 4
- 2θ 88.09, d = 1.109 Å, intensity 10

Atomic structure:
Lattice parameters (Å, degrees): 6.0685 7.8409 9.2832 65.07 83.77 82.56
Space group P-1 (No. 2)
One atom of each set of equivalent atoms:
Y 0.1550 0.1928 0.3842 [2 per cell]
Er 0.3077 0.8845 0.7707 [2 per cell]
Er 0.4634 0.5778 0.1529 [2 per cell]
Tm 0.0000 0.5000 0.0000 [1 per cell]
Tm 0.0761 0.3453 0.6933 [2 per cell]
Tm 0.2307 0.0379 0.0767 [2 per cell]
Tm 0.3849 0.7289 0.4609 [2 per cell]

***

The following is a calculated powder XRD pattern of Y5Er2Tm2. It was derived from the GGA-PBE geometry in Alexandria, using a wavelength of 1.5418 Å.
Lines closer than 0.1° are merged.

Peak list (10 most intense, 10 to 90 degrees two-theta, in order of rising 2θ)
- 2θ 13.50, d = 6.561 Å, intensity 23
- 2θ 29.32, d = 3.046 Å, intensity 20
- 2θ 30.22, d = 2.957 Å, intensity 14
- 2θ 30.61, d = 2.921 Å, intensity 20
- 2θ 31.17, d = 2.869 Å, intensity 44
- 2θ 31.89, d = 2.806 Å, intensity 100
- 2θ 32.22, d = 2.778 Å, intensity 29
- 2θ 33.15, d = 2.702 Å, intensity 55
- 2θ 45.45, d = 1.996 Å, intensity 14
- 2θ 55.92, d = 1.644 Å, intensity 11

Atomic structure:
Lattice parameters (Å, degrees): 17.9768 5.7387 13.4649 90.00 123.90 90.00
Space group C2 (No. 5)
One atom of each set of equivalent atoms:
Y 0.0255 0.0000 0.1456 [4 per cell]
Y 0.0506 0.4225 0.3410 [4 per cell]
Y 0.1240 0.8698 0.7941 [4 per cell]
Y 0.1637 0.3598 0.9567 [4 per cell]
Y 0.2004 0.8949 0.4233 [4 per cell]
Er 0.0000 0.5037 0.0000 [2 per cell]
Er 0.0000 0.8859 0.5000 [2 per cell]
Er 0.2186 0.3739 0.2724 [4 per cell]
Tm 0.1319 0.3805 0.6425 [4 per cell]
Tm 0.1769 0.8629 0.0960 [4 per cell]

***

The following is a calculated powder XRD pattern of Y6Er4Tm. It was derived from the GGA-PBE geometry in Alexandria, using a wavelength of 1.5418 Å.
Lines closer than 0.1° are merged.

Peak list (10 most intense, 10 to 90 degrees two-theta, in order of rising 2θ)
- 2θ 30.93, d = 2.891 Å, intensity 100
- 2θ 35.87, d = 2.503 Å, intensity 50
- 2θ 51.63, d = 1.770 Å, intensity 35
- 2θ 61.42, d = 1.510 Å, intensity 42
- 2θ 64.43, d = 1.446 Å, intensity 3
- 2θ 64.48, d = 1.445 Å, intensity 9
- 2θ 76.03, d = 1.252 Å, intensity 6
- 2θ 84.30, d = 1.149 Å, intensity 14
- 2θ 84.37, d = 1.148 Å, intensity 3
- 2θ 87.04, d = 1.120 Å, intensity 12

Atomic structure:
Lattice parameters (Å, degrees): 6.1307 6.1309 9.3724 96.28 90.04 99.63
Space group P1 (No. 1)
One atom of each set of equivalent atoms:
Y 0.0000 0.0000 0.0000 [1 per cell]
Y 0.0883 0.5433 0.1831 [1 per cell]
Y 0.2698 0.6378 0.5481 [1 per cell]
Y 0.4538 0.7247 0.9091 [1 per cell]
Y 0.6353 0.8192 0.2745 [1 per cell]
Y 0.7235 0.3626 0.4574 [1 per cell]
Er 0.1801 0.0910 0.3658 [1 per cell]
Er 0.3617 0.1812 0.7285 [1 per cell]
Er 0.5433 0.2716 0.0918 [1 per cell]
Er 0.9055 0.4524 0.8191 [1 per cell]
Tm 0.8180 0.9103 0.6381 [1 per cell]

***

The following is a calculated powder XRD pattern of Y5Er12Tm. It was derived from the GGA-PBE geometry in Alexandria, using a wavelength of 1.5418 Å.
Lines closer than 0.1° are merged.

Peak list (10 most intense, 10 to 90 degrees two-theta, in order of rising 2θ)
- 2θ 31.08, d = 2.877 Å, intensity 100
- 2θ 36.02, d = 2.494 Å, intensity 34
- 2θ 36.10, d = 2.488 Å, intensity 17
- 2θ 51.89, d = 1.762 Å, intensity 36
- 2θ 61.65, d = 1.505 Å, intensity 14
- 2θ 61.78, d = 1.502 Å, intensity 28
- 2θ 64.81, d = 1.439 Å, intensity 12
- 2θ 84.76, d = 1.144 Å, intensity 12
- 2θ 84.88, d = 1.142 Å, intensity 6
- 2θ 87.41, d = 1.116 Å, intensity 6

Atomic structure:
Lattice parameters (Å, degrees): 14.9464 14.9772 4.9758 90.00 90.00 90.00
Space group Cmmm (No. 65)
One atom of each set of equivalent atoms:
Y 0.0000 0.0000 0.0000 [2 per cell]
Y 0.0000 0.1666 0.5000 [4 per cell]
Y 0.0000 0.3342 0.0000 [4 per cell]
Er 0.1675 0.3338 0.5000 [8 per cell]
Er 0.1671 0.5000 0.0000 [4 per cell]
Er 0.1681 0.0000 0.5000 [4 per cell]
Er 0.1681 0.1668 0.0000 [8 per cell]
Tm 0.0000 0.5000 0.5000 [2 per cell]

***

The following is a calculated powder XRD pattern of YEr2Tm12. It was derived from the GGA-PBE geometry in Alexandria, using a wavelength of 1.5418 Å.
Lines closer than 0.1° are merged.

Peak list (10 most intense, 10 to 90 degrees two-theta, in order of rising 2θ)
- 2θ 30.51, d = 2.930 Å, intensity 41
- 2θ 31.17, d = 2.869 Å, intensity 98
- 2θ 31.33, d = 2.855 Å, intensity 30
- 2θ 32.13, d = 2.786 Å, intensity 100
- 2θ 32.47, d = 2.757 Å, intensity 89
- 2θ 33.44, d = 2.680 Å, intensity 79
- 2θ 34.15, d = 2.626 Å, intensity 51
- 2θ 34.59, d = 2.593 Å, intensity 27
- 2θ 44.89, d = 2.019 Å, intensity 25
- 2θ 62.44, d = 1.487 Å, intensity 26

Atomic structure:
Lattice parameters (Å, degrees): 7.0393 11.1443 23.6085 90.00 96.87 90.00
Space group C2/m (No. 12)
One atom of each set of equivalent atoms:
Y 0.2473 0.0000 0.4784 [4 per cell]
Er 0.2049 0.5000 0.2148 [4 per cell]
Er 0.2144 0.0000 0.2125 [4 per cell]
Tm 0.0137 0.0000 0.3426 [4 per cell]
Tm 0.0310 0.5000 0.3610 [4 per cell]
Tm 0.0554 0.2458 0.8249 [8 per cell]
Tm 0.0943 0.5000 0.9268 [4 per cell]
Tm 0.0948 0.0000 0.9262 [4 per cell]
Tm 0.1310 0.2193 0.5655 [8 per cell]
Tm 0.1479 0.2502 0.0564 [8 per cell]
Tm 0.2449 0.2445 0.2993 [8 per cell]

***

The following is a calculated powder XRD pattern of YEr8Tm3. It was derived from the GGA-PBE geometry in Alexandria, using a wavelength of 1.5418 Å.
Lines closer than 0.1° are merged.

Peak list (10 most intense, 10 to 90 degrees two-theta, in order of rising 2θ)
- 2θ 20.24, d = 4.387 Å, intensity 22
- 2θ 23.42, d = 3.799 Å, intensity 18
- 2θ 33.36, d = 2.686 Å, intensity 100
- 2θ 39.33, d = 2.291 Å, intensity 12
- 2θ 41.16, d = 2.193 Å, intensity 5
- 2θ 47.89, d = 1.899 Å, intensity 18
- 2θ 53.97, d = 1.699 Å, intensity 7
- 2θ 59.61, d = 1.551 Å, intensity 38
- 2θ 70.06, d = 1.343 Å, intensity 12
- 2θ 79.84, d = 1.201 Å, intensity 16

Atomic structure:
Lattice parameters (Å, degrees): 7.5955 7.5955 15.2047 90.00 90.00 90.00
Space group I4/mmm (No. 139)
One atom of each set of equivalent atoms:
Y 0.0000 0.0000 0.0000 [2 per cell]
Er 0.2486 0.2486 0.3741 [16 per cell]
Tm 0.0000 0.0000 0.5000 [2 per cell]
Tm 0.0000 0.5000 0.2500 [4 per cell]

***

The following is a calculated powder XRD pattern of YEr5Tm12. It was derived from the GGA-PBE geometry in Alexandria, using a wavelength of 1.5418 Å.
Lines closer than 0.1° are merged.

Peak list (10 most intense, 10 to 90 degrees two-theta, in order of rising 2θ)
- 2θ 29.74, d = 3.004 Å, intensity 51
- 2θ 30.12, d = 2.967 Å, intensity 100
- 2θ 31.42, d = 2.847 Å, intensity 35
- 2θ 33.42, d = 2.681 Å, intensity 86
- 2θ 36.06, d = 2.491 Å, intensity 58
- 2θ 39.22, d = 2.297 Å, intensity 40
- 2θ 42.81, d = 2.112 Å, intensity 27
- 2θ 52.78, d = 1.735 Å, intensity 44
- 2θ 60.39, d = 1.533 Å, intensity 29
- 2θ 61.96, d = 1.498 Å, intensity 50

Atomic structure:
Lattice parameters (Å, degrees): 6.0085 6.0085 17.8242 90.00 90.00 120.00
Space group P-31m (No. 162)
One atom of each set of equivalent atoms:
Y 0.0000 0.0000 0.0000 [1 per cell]
Er 0.0000 0.0000 0.5000 [1 per cell]
Er 0.3333 0.6667 0.0000 [2 per cell]
Er 0.3333 0.6667 0.5000 [2 per cell]
Tm 0.0000 0.0000 0.1869 [2 per cell]
Tm 0.0000 0.3334 0.3404 [6 per cell]
Tm 0.3333 0.6667 0.1858 [4 per cell]

***

The following is a calculated powder XRD pattern of YEr6Tm6. It was derived from the GGA-PBE geometry in Alexandria, using a wavelength of 1.5418 Å.
Lines closer than 0.1° are merged.

Peak list (10 most intense, 10 to 90 degrees two-theta, in order of rising 2θ)
- 2θ 27.16, d = 3.283 Å, intensity 27
- 2θ 28.52, d = 3.130 Å, intensity 18
- 2θ 31.52, d = 2.838 Å, intensity 100
- 2θ 31.83, d = 2.812 Å, intensity 24
- 2θ 35.38, d = 2.537 Å, intensity 89
- 2θ 35.62, d = 2.520 Å, intensity 31
- 2θ 53.68, d = 1.708 Å, intensity 20
- 2θ 56.02, d = 1.642 Å, intensity 28
- 2θ 56.53, d = 1.628 Å, intensity 23
- 2θ 65.89, d = 1.418 Å, intensity 18

Atomic structure:
Lattice parameters (Å, degrees): 6.5661 6.5661 11.2472 90.00 90.00 120.00
Space group P6/mmm (No. 191)
One atom of each set of equivalent atoms:
Y 0.0000 0.0000 0.0000 [1 per cell]
Er 0.0000 0.0000 0.3458 [2 per cell]
Er 0.3333 0.6667 0.0000 [2 per cell]
Er 0.3333 0.6667 0.5000 [2 per cell]
Tm 0.0000 0.5000 0.2423 [6 per cell]

***

The following is a calculated powder XRD pattern of Y2ErTm7. It was derived from the GGA-PBE geometry in Alexandria, using a wavelength of 1.5418 Å.
Lines closer than 0.1° are merged.

Peak list (10 most intense, 10 to 90 degrees two-theta, in order of rising 2θ)
- 2θ 29.40, d = 3.038 Å, intensity 53
- 2θ 30.80, d = 2.903 Å, intensity 81
- 2θ 31.54, d = 2.836 Å, intensity 77
- 2θ 31.91, d = 2.805 Å, intensity 59
- 2θ 33.30, d = 2.690 Å, intensity 100
- 2θ 33.97, d = 2.639 Å, intensity 96
- 2θ 38.31, d = 2.349 Å, intensity 35
- 2θ 40.45, d = 2.230 Å, intensity 37
- 2θ 62.61, d = 1.484 Å, intensity 34
- 2θ 64.05, d = 1.454 Å, intensity 34

Atomic structure:
Lattice parameters (Å, degrees): 6.3627 28.3624 3.4840 90.00 90.00 90.00
Space group Cmmm (No. 65)
One atom of each set of equivalent atoms:
Y 0.0000 0.2095 0.0000 [4 per cell]
Er 0.0000 0.5000 0.5000 [2 per cell]
Tm 0.0000 0.0000 0.0000 [2 per cell]
Tm 0.0000 0.3157 0.5000 [4 per cell]
Tm 0.2468 0.4019 0.0000 [8 per cell]

***

The following is a calculated powder XRD pattern of Y4ErTm. It was derived from the GGA-PBE geometry in Alexandria, using a wavelength of 1.5418 Å.
Lines closer than 0.1° are merged.

Peak list (10 most intense, 10 to 90 degrees two-theta, in order of rising 2θ)
- 2θ 18.32, d = 4.844 Å, intensity 16
- 2θ 31.57, d = 2.834 Å, intensity 100
- 2θ 31.93, d = 2.803 Å, intensity 30
- 2θ 32.04, d = 2.793 Å, intensity 58
- 2θ 45.54, d = 1.992 Å, intensity 24
- 2θ 45.65, d = 1.988 Å, intensity 12
- 2θ 56.67, d = 1.624 Å, intensity 13
- 2θ 56.82, d = 1.620 Å, intensity 24
- 2θ 56.98, d = 1.616 Å, intensity 11
- 2θ 62.70, d = 1.482 Å, intensity 25

Atomic structure:
Lattice parameters (Å, degrees): 5.6052 6.9893 9.6655 90.00 90.00 90.00
Space group Pmna (No. 53)
One atom of each set of equivalent atoms:
Y 0.0000 0.2491 0.1780 [4 per cell]
Y 0.0000 0.2499 0.8441 [4 per cell]
Er 0.0000 0.5000 0.5000 [2 per cell]
Tm 0.0000 0.0000 0.5000 [2 per cell]

***

Copy entry 12 word for word.
The following is a calculated powder XRD pattern of Y4ErTm. It was derived from the GGA-PBE geometry in Alexandria, using a wavelength of 1.5418 Å.
Lines closer than 0.1° are merged.

Peak list (10 most intense, 10 to 90 degrees two-theta, in order of rising 2θ)
- 2θ 18.32, d = 4.844 Å, intensity 16
- 2θ 31.57, d = 2.834 Å, intensity 100
- 2θ 31.93, d = 2.803 Å, intensity 30
- 2θ 32.04, d = 2.793 Å, intensity 58
- 2θ 45.54, d = 1.992 Å, intensity 24
- 2θ 45.65, d = 1.988 Å, intensity 12
- 2θ 56.67, d = 1.624 Å, intensity 13
- 2θ 56.82, d = 1.620 Å, intensity 24
- 2θ 56.98, d = 1.616 Å, intensity 11
- 2θ 62.70, d = 1.482 Å, intensity 25

Atomic structure:
Lattice parameters (Å, degrees): 5.6052 6.9893 9.6655 90.00 90.00 90.00
Space group Pmna (No. 53)
One atom of each set of equivalent atoms:
Y 0.0000 0.2491 0.1780 [4 per cell]
Y 0.0000 0.2499 0.8441 [4 per cell]
Er 0.0000 0.5000 0.5000 [2 per cell]
Tm 0.0000 0.0000 0.5000 [2 per cell]